No. 1
Diffraction record for RbBe3ZnF9. The PXRD pattern is calculated, not measured: it uses a GGA-PBE-relaxed structure and a wavelength of 1.5418 Å.
No peak broadening, texture or thermal motion is included.

Most intense lines, 2θ from 10° to 90°, low angle first:
2θ = 15.1°, rel. 43, hkl 1 0 0
2θ = 23.6°, rel. 100, hkl 1 0 2
2θ = 26.3°, rel. 28, hkl 1 1 0
2θ = 32.1°, rel. 97, hkl 1 1 2
2θ = 45.7°, rel. 40, hkl 1 1 4
2θ = 46.4°, rel. 20, hkl 3 0 0
2θ = 50.2°, rel. 27, hkl 3 0 2
2θ = 55.9°, rel. 20, hkl 2 1 4

Crystal structure
abc: 6.7808 6.7808 9.8011
angles: 90.00 90.00 120.00
Space group P-6c2 (No. 188)
Symmetry-distinct sites (fractional):
Rb 0.0000 0.0000 0.0000 [2 per cell]
Be 0.0574 0.4574 0.2500 [6 per cell]
Zn 0.6667 0.3333 0.0000 [2 per cell]
F 0.1496 0.4264 0.7500 [6 per cell]
F 0.4207 0.0795 0.1196 [12 per cell]

=====

No. 2
Diffraction record for YCd9Pd3. The PXRD pattern is calculated, not measured: it uses a GGA-PBE-relaxed structure and a wavelength of 1.5418 Å.
No peak broadening, texture or thermal motion is included.

Most intense lines, 2θ from 10° to 90°, low angle first:
2θ = 31.6°, rel. 26, hkl 2 0 -1
2θ = 36.5°, rel. 32, hkl 2 2 0
2θ = 36.9°, rel. 100, hkl 0 4 2
2θ = 40.9°, rel. 19, hkl 2 0 1
2θ = 41.3°, rel. 49, hkl 2 4 -1
2θ = 41.5°, rel. 36, hkl 2 0 -3
2θ = 66.0°, rel. 18, hkl 4 0 -2
2θ = 66.6°, rel. 18, hkl 2 6 -4

Crystal structure
abc: 5.6674 13.7572 7.4243
angles: 90.00 111.59 90.00
Space group C2/m (No. 12)
Symmetry-distinct sites (fractional):
Y 0.0000 0.0000 0.0000 [2 per cell]
Cd 0.0000 0.5000 0.5000 [2 per cell]
Cd 0.1091 0.3912 0.2102 [8 per cell]
Cd 0.1537 0.1738 0.3334 [8 per cell]
Pd 0.0000 0.0000 0.5000 [2 per cell]
Pd 0.2500 0.2500 0.0000 [4 per cell]

=====

No. 3
Diffraction record for Fe3Co5. The PXRD pattern is calculated, not measured: it uses a GGA-PBE-relaxed structure and a wavelength of 1.5418 Å.
No peak broadening, texture or thermal motion is included.

Most intense lines, 2θ from 10° to 90°, low angle first:
2θ = 45.2°, rel. 100, hkl 2 2 0
2θ = 65.8°, rel. 15, hkl 4 0 0
2θ = 83.4°, rel. 29, hkl 4 2 2

Crystal structure
abc: 5.6782 5.6782 5.6782
angles: 90.00 90.00 90.00
Space group Im-3m (No. 229)
Symmetry-distinct sites (fractional):
Fe 0.0000 0.0000 0.5000 [6 per cell]
Co 0.0000 0.0000 0.0000 [2 per cell]
Co 0.2500 0.2500 0.2500 [8 per cell]

=====

No. 4
Diffraction record for Sr16Li12Hg. The PXRD pattern is calculated, not measured: it uses a GGA-PBE-relaxed structure and a wavelength of 1.5418 Å.
No peak broadening, texture or thermal motion is included.

Most intense lines, 2θ from 10° to 90°, low angle first:
2θ = 16.6°, rel. 44, hkl 1 1 -2
2θ = 16.9°, rel. 52, hkl 2 2 -1
2θ = 26.9°, rel. 36, hkl 0 0 3
2θ = 27.5°, rel. 90, hkl 3 3 0
2θ = 28.8°, rel. 34, hkl 1 3 -3
2θ = 30.0°, rel. 100, hkl 4 0 -3
2θ = 30.2°, rel. 56, hkl 2 2 2
2θ = 30.5°, rel. 33, hkl 0 6 0

Crystal structure
abc: 13.1721 17.5789 11.1983
angles: 90.00 117.40 90.00
Space group Cm (No. 8)
Symmetry-distinct sites (fractional):
Sr 0.0000 0.0000 0.0000 [2 per cell]
Sr 0.0040 0.3859 0.6296 [4 per cell]
Sr 0.0201 0.3816 0.9874 [4 per cell]
Sr 0.0330 0.0000 0.6448 [2 per cell]
Sr 0.0427 0.3084 0.3300 [4 per cell]
Sr 0.2037 0.1761 0.2163 [4 per cell]
Sr 0.2188 0.1896 0.6419 [4 per cell]
Sr 0.2403 0.5000 0.3178 [2 per cell]
Sr 0.3166 0.3133 0.9903 [4 per cell]
Sr 0.3932 0.0000 0.2409 [2 per cell]
Li 0.0140 0.1932 0.8154 [4 per cell]
Li 0.2166 0.0000 0.4327 [2 per cell]
Li 0.2375 0.0937 0.9379 [4 per cell]
Li 0.2818 0.4106 0.6615 [4 per cell]
Li 0.3242 0.0000 0.7422 [2 per cell]
Li 0.3818 0.3134 0.4862 [4 per cell]
Li 0.4911 0.4051 0.3189 [4 per cell]
Hg 0.1987 0.5000 0.8835 [2 per cell]

=====

No. 5
Diffraction record for Tb4GeCl5. The PXRD pattern is calculated, not measured: it uses a GGA-PBE-relaxed structure and a wavelength of 1.5418 Å.
No peak broadening, texture or thermal motion is included.

Most intense lines, 2θ from 10° to 90°, low angle first:
2θ = 10.3°, rel. 43, hkl 2 0 0
2θ = 11.1°, rel. 90, hkl 0 0 1
2θ = 27.3°, rel. 24, hkl 3 1 0
2θ = 31.3°, rel. 49, hkl 6 0 0
2θ = 31.4°, rel. 100, hkl 1 1 -2
2θ = 44.8°, rel. 35, hkl 5 1 2
2θ = 45.1°, rel. 33, hkl 7 1 -2
2θ = 56.4°, rel. 20, hkl 6 2 0

Crystal structure
abc: 17.5976 3.9764 8.1651
angles: 90.00 102.98 90.00
Space group C2/m (No. 12)
Symmetry-distinct sites (fractional):
Tb 0.0007 0.0000 0.2336 [4 per cell]
Tb 0.1568 0.5000 0.0857 [4 per cell]
Ge 0.0000 0.5000 0.0000 [2 per cell]
Cl 0.0000 0.5000 0.5000 [2 per cell]
Cl 0.1663 0.0000 0.3236 [4 per cell]
Cl 0.1722 0.0000 0.8493 [4 per cell]

=====

No. 6
Diffraction record for CaSm4Dy. The PXRD pattern is calculated, not measured: it uses a GGA-PBE-relaxed structure and a wavelength of 1.5418 Å.
No peak broadening, texture or thermal motion is included.

Most intense lines, 2θ from 10° to 90°, low angle first:
2θ = 29.9°, rel. 99, hkl 0 1 3
2θ = 30.2°, rel. 100, hkl 1 1 0
2θ = 34.8°, rel. 100, hkl 0 2 0
2θ = 50.0°, rel. 47, hkl 1 2 3
2θ = 59.2°, rel. 40, hkl 0 3 3
2θ = 59.4°, rel. 14, hkl 1 3 0
2θ = 59.7°, rel. 28, hkl 2 1 3
2θ = 62.7°, rel. 12, hkl 2 2 0

Crystal structure
abc: 3.6182 5.1675 11.0155
angles: 90.00 90.00 90.00
Space group Pmmm (No. 47)
Symmetry-distinct sites (fractional):
Ca 0.0000 0.0000 0.0000 [1 per cell]
Sm 0.0000 0.0000 0.3399 [2 per cell]
Sm 0.5000 0.5000 0.1812 [2 per cell]
Dy 0.5000 0.5000 0.5000 [1 per cell]

=====

No. 7
Diffraction record for La2SmBi. The PXRD pattern is calculated, not measured: it uses a GGA-PBE-relaxed structure and a wavelength of 1.5418 Å.
No peak broadening, texture or thermal motion is included.

Most intense lines, 2θ from 10° to 90°, low angle first:
2θ = 29.0°, rel. 70, hkl 1 1 0
2θ = 32.4°, rel. 100, hkl 1 0 2
2θ = 41.5°, rel. 27, hkl 2 0 0
2θ = 53.6°, rel. 49, hkl 2 1 2
2θ = 59.7°, rel. 15, hkl 1 1 4
2θ = 68.1°, rel. 12, hkl 3 1 0
2θ = 69.9°, rel. 11, hkl 3 0 2
2θ = 84.7°, rel. 13, hkl 3 2 2

Crystal structure
abc: 4.3551 4.3551 7.1649
angles: 90.00 90.00 90.00
Space group P4/mmm (No. 123)
Symmetry-distinct sites (fractional):
La 0.0000 0.0000 0.2236 [2 per cell]
Sm 0.5000 0.5000 0.5000 [1 per cell]
Bi 0.5000 0.5000 0.0000 [1 per cell]

=====

No. 8
Diffraction record for HoZn11Pd. The PXRD pattern is calculated, not measured: it uses a GGA-PBE-relaxed structure and a wavelength of 1.5418 Å.
No peak broadening, texture or thermal motion is included.

Most intense lines, 2θ from 10° to 90°, low angle first:
2θ = 34.7°, rel. 34, hkl 1 3 1
2θ = 35.0°, rel. 47, hkl 1 3 -2
2θ = 39.9°, rel. 65, hkl 2 2 0
2θ = 40.2°, rel. 70, hkl 2 2 -2
2θ = 40.4°, rel. 97, hkl 1 5 0
2θ = 40.6°, rel. 100, hkl 0 4 2
2θ = 40.7°, rel. 35, hkl 1 1 -3
2θ = 45.1°, rel. 33, hkl 2 4 -1

Crystal structure
abc: 5.2204 12.5873 6.7631
angles: 90.00 111.99 90.00
Space group C2/m (No. 12)
Symmetry-distinct sites (fractional):
Ho 0.0000 0.0000 0.0000 [2 per cell]
Zn 0.0000 0.5000 0.5000 [2 per cell]
Zn 0.1050 0.3914 0.2147 [8 per cell]
Zn 0.1675 0.1758 0.3530 [8 per cell]
Zn 0.2500 0.2500 0.0000 [4 per cell]
Pd 0.0000 0.0000 0.5000 [2 per cell]